# Zr3TlSe6
Computed powder XRD pattern, CuKα. Input: DFT lattice parameters and positions (GGA-PBE).
No peak broadening, texture or thermal motion is included.

abc: 11.982 3.794 12.116
angles: 90.00 107.08 90.00
Space group P2_1/m (No. 11)
Inequivalent atoms, fractional coordinates:
Zr 0.028 0.250 0.142 x2
Zr 0.203 0.250 0.770 x2
Zr 0.349 0.750 0.461 x2
Tl 0.404 0.750 0.125 x2
Se 0.046 0.750 0.669 x2
Se 0.137 0.250 0.968 x2
Se 0.181 0.750 0.249 x2
Se 0.254 0.250 0.558 x2
Se 0.364 0.750 0.853 x2
Se 0.452 0.250 0.361 x2

Largest 12 diffraction maxima, most intense first, 2θ = 10–80°:
two_theta  I (rel.)
30.47  100
28.20  55
29.89  54
47.95  38
30.22  33
36.53  31
45.90  30
19.20  29
32.88  28
33.59  24
39.68  23
37.70  22